Ca2TmCu2Se4: computed XRD peak list (copper Kα), based on the GGA-PBE geometry in Alexandria.
Lines closer than 0.1° are merged.

Principal peaks in the range 2θ = 10–90°, in order of falling intensity:
2θ/deg  intensity
34.53  100.0
13.03  92.4
36.22  44.4
29.58  43.2
33.96  39.7
46.58  33.4
45.73  33.1
37.70  32.5

Cell and atoms:
a = 7.693 Å, b = 7.693 Å, c = 7.439 Å
α = 113.20°, β = 113.20°, γ = 29.36°
Atoms (fractional coordinates):
Ca 0.135 0.135 0.086
Ca 0.865 0.865 0.914
Tm 0.000 0.000 0.500
Cu 0.309 0.309 0.484
Cu 0.691 0.691 0.516
Se 0.203 0.203 0.744
Se 0.476 0.476 0.756
Se 0.524 0.524 0.244
Se 0.797 0.797 0.256

Th3Se3N: computed XRD peak list (copper Kα), based on the GGA-PBE geometry in Alexandria.
Lines closer than 0.1° are merged.

Principal peaks in the range 2θ = 10–90°, in order of falling intensity:
2θ/deg  intensity
33.29  100.0
24.36  91.2
27.07  91.0
38.13  78.5
27.26  73.4
31.17  70.2
26.15  60.7
31.05  55.4

Cell and atoms:
a = 13.215 Å, b = 3.978 Å, c = 13.085 Å
α = 90.00°, β = 90.00°, γ = 90.00°
Atoms (fractional coordinates):
Th 0.047 0.250 0.157
Th 0.058 0.250 0.617
Th 0.214 0.250 0.851
Th 0.286 0.750 0.351
Th 0.442 0.750 0.117
Th 0.453 0.750 0.657
Th 0.547 0.250 0.343
Th 0.558 0.250 0.883
Th 0.714 0.250 0.649
Th 0.786 0.750 0.149
Th 0.942 0.750 0.383
Th 0.953 0.750 0.843
Se 0.110 0.250 0.387
Se 0.124 0.750 0.998
Se 0.220 0.750 0.676
Se 0.280 0.250 0.176
Se 0.376 0.250 0.498
Se 0.390 0.750 0.887
Se 0.610 0.250 0.113
Se 0.624 0.750 0.502
Se 0.720 0.750 0.824
Se 0.780 0.250 0.324
Se 0.876 0.250 0.002
Se 0.890 0.750 0.613
N 0.046 0.250 0.796
N 0.454 0.750 0.296
N 0.546 0.250 0.704
N 0.954 0.750 0.204

RbCaOs2O8: computed XRD peak list (copper Kα), based on the GGA-PBE geometry in Alexandria.
Lines closer than 0.1° are merged.

Principal peaks in the range 2θ = 10–90°, in order of falling intensity:
2θ/deg  intensity
20.24  100.0
29.50  39.3
28.04  29.7
47.24  20.7
37.83  17.1
41.15  15.1
55.00  14.7
36.04  11.5

Cell and atoms:
a = 6.056 Å, b = 6.056 Å, c = 8.005 Å
α = 90.00°, β = 90.00°, γ = 120.00°
Atoms (fractional coordinates):
Rb 0.000 0.000 0.000
Ca 0.000 0.000 0.500
Os 0.333 0.667 0.758
Os 0.667 0.333 0.242
O 0.168 0.344 0.685
O 0.176 0.832 0.685
O 0.333 0.667 0.979
O 0.344 0.176 0.315
O 0.656 0.824 0.685
O 0.667 0.333 0.021
O 0.824 0.168 0.315
O 0.832 0.656 0.315

AsPI3: computed XRD peak list (copper Kα), based on the GGA-PBE geometry in Alexandria.
Lines closer than 0.1° are merged.

Principal peaks in the range 2θ = 10–90°, in order of falling intensity:
2θ/deg  intensity
27.89  100.0
32.32  67.1
46.36  48.1
54.97  44.4
76.97  21.4
74.68  17.9
57.64  16.6
85.96  16.5

Cell and atoms:
a = 5.540 Å, b = 5.540 Å, c = 5.540 Å
α = 90.00°, β = 90.00°, γ = 90.00°
Atoms (fractional coordinates):
As 0.000 0.000 0.000
P 0.500 0.500 0.500
I 0.000 0.500 0.500
I 0.500 0.000 0.500
I 0.500 0.500 0.000